# Li2NiP4O12
Calculated powder X-ray diffraction pattern, copper Kα. Input: a cell relaxed with GGA+U.
Neutral-atom scattering factors, no anomalous dispersion.

Cell and atoms:
Cell lengths 7.3890, 9.1508, 8.5971 Å; angles 90.00, 124.00, 90.00 degrees
Element x y z (fractional)
Li 0.1885 0.1612 0.3015
Li 0.1885 0.3388 0.8015
Li 0.8115 0.6612 0.1985
Li 0.8115 0.8388 0.6985
Ni 0.0000 0.0000 0.5000
Ni 0.0000 0.5000 0.0000
P 0.2299 0.7043 0.3922
P 0.2299 0.7957 0.8922
P 0.4717 0.5878 0.7780
P 0.4717 0.9122 0.2780
P 0.5283 0.0878 0.7220
P 0.5283 0.4122 0.2220
P 0.7701 0.2043 0.1078
P 0.7701 0.2957 0.6078
O 0.0803 0.6997 0.9146
O 0.0803 0.8003 0.4146
O 0.1113 0.5753 0.2659
O 0.1113 0.9247 0.7659
O 0.2880 0.1016 0.5692
O 0.2880 0.3984 0.0692
O 0.3504 0.7135 0.8144
O 0.3504 0.7865 0.3144
O 0.3589 0.0546 0.2419
O 0.3589 0.4454 0.7419
O 0.4423 0.6502 0.5890
O 0.4423 0.8498 0.0890
O 0.5577 0.1502 0.9110
O 0.5577 0.3498 0.4110
O 0.6411 0.5546 0.2581
O 0.6411 0.9454 0.7581
O 0.6496 0.2135 0.6856
O 0.6496 0.2865 0.1856
O 0.7120 0.6016 0.9308
O 0.7120 0.8984 0.4308
O 0.8887 0.0753 0.2341
O 0.8887 0.4247 0.7341
O 0.9197 0.1997 0.5854
O 0.9197 0.3003 0.0854

Peak list (10 most intense, 2θ from 10° to 90°, in order of falling intensity)
| 2θ/deg | I_rel |
| --- | --- |
| 23.3 | 100 |
| 17.4 | 89 |
| 15.8 | 75 |
| 28.5 | 70 |
| 26.3 | 68 |
| 26.8 | 43 |
| 16.0 | 42 |
| 33.4 | 38 |
| 35.5 | 29 |
| 31.3 | 24 |